For PuHg3I9, a structure optimized by DFT (GGA-PBE) gives the calculated PXRD pattern in this record (Cu Kα, 1.54184 Å).
Kinematic intensities with the Lorentz-polarization factor, no thermal factor.

Cell and atoms:
abc: 20.6507 10.7139 14.8898
angles: 90.00 129.18 90.00
Space group Cc (No. 9)
Symmetry-distinct sites (fractional):
Pu: 0.0000 0.2305 0.0000 [4 per cell]
Hg: 0.1369 0.4296 0.8306 [4 per cell]
Hg: 0.2680 0.0733 0.7811 [4 per cell]
Hg: 0.3692 0.3851 0.6769 [4 per cell]
I: 0.0062 0.0686 0.1806 [4 per cell]
I: 0.1016 0.4726 0.1221 [4 per cell]
I: 0.1386 0.0317 0.0634 [4 per cell]
I: 0.1986 0.3529 0.4729 [4 per cell]
I: 0.2617 0.2380 0.9264 [4 per cell]
I: 0.3542 0.4313 0.3041 [4 per cell]
I: 0.3551 0.1252 0.4600 [4 per cell]
I: 0.4074 0.1530 0.7965 [4 per cell]
I: 0.4991 0.1918 0.2960 [4 per cell]

Largest 10 diffraction maxima, in order of rising 2θ, 10° ≤ 2θ ≤ 80°:
2θ (°), Rel. int., hkl
14.54, 1000, 1 1 1
16.06, 518, 3 1 -2
18.62, 319, 3 1 0
23.18, 455, 5 1 -2
24.02, 325, 2 0 2
24.70, 630, 2 2 -3
34.53, 252, 7 1 -5
35.85, 399, 7 1 -1
37.10, 364, 1 3 3
42.95, 273, 2 2 4

For RbPuHgI6, a structure optimized by DFT (GGA-PBE) gives the calculated PXRD pattern in this record (Cu Kα, 1.54184 Å).
Kinematic intensities with the Lorentz-polarization factor, no thermal factor.

Cell and atoms:
abc: 8.0580 8.0580 15.9656
angles: 90.00 90.00 120.00
Space group P-31c (No. 163)
Symmetry-distinct sites (fractional):
Rb: 0.0000 0.0000 0.0000 [2 per cell]
Pu: 0.3333 0.6667 0.2500 [2 per cell]
Hg: 0.3333 0.6667 0.7500 [2 per cell]
I: 0.0012 0.3750 0.6390 [12 per cell]

Largest 10 diffraction maxima, in order of rising 2θ, 10° ≤ 2θ ≤ 80°:
2θ (°), Rel. int., hkl
11.08, 516, 0 0 2
12.69, 275, 1 0 0
16.88, 570, 1 0 2
24.75, 1000, 1 1 2
31.55, 947, 1 1 4
35.86, 264, 2 1 2
38.71, 449, 3 0 0
40.63, 339, 2 -1 6
50.77, 197, 4 -2 4
61.19, 179, 3 0 8

For Rb3Hg2I8, a structure optimized by DFT (GGA-PBE) gives the calculated PXRD pattern in this record (Cu Kα, 1.54184 Å).
Kinematic intensities with the Lorentz-polarization factor, no thermal factor.

Cell and atoms:
abc: 8.3468 8.3468 32.2790
angles: 90.00 90.00 120.00
Space group R-3m (No. 166, hexagonal axes)
Symmetry-distinct sites (fractional):
Rb: 0.0000 0.0000 0.0000 [3 per cell]
Rb: 0.0000 0.0000 0.2047 [6 per cell]
Hg: 0.0000 0.0000 0.4023 [6 per cell]
I: 0.0000 0.0000 0.3163 [6 per cell]
I: 0.0285 0.5142 0.7701 [18 per cell]

Largest 10 diffraction maxima, in order of rising 2θ, 10° ≤ 2θ ≤ 80°:
2θ (°), Rel. int., hkl
16.47, 1000, 0 0 6
21.29, 843, 1 1 0
22.86, 594, 1 1 3
25.25, 870, 2 0 2
28.30, 691, 2 0 5
30.33, 680, 1 0 10
32.91, 384, 2 1 1
39.56, 570, 2 0 11
43.37, 998, 2 2 0
47.54, 348, 1 1 15

For RbHg2I4, a structure optimized by DFT (GGA-PBE) gives the calculated PXRD pattern in this record (Cu Kα, 1.54184 Å).
Kinematic intensities with the Lorentz-polarization factor, no thermal factor.

Cell and atoms:
abc: 9.7686 9.9366 13.3730
angles: 90.00 90.00 90.00
Space group Imma (No. 74)
Symmetry-distinct sites (fractional):
Rb: 0.0000 0.0000 0.0000 [4 per cell]
Hg: 0.0000 0.2500 0.3707 [4 per cell]
Hg: 0.2500 0.2500 0.7500 [4 per cell]
I: 0.0000 0.0049 0.7274 [8 per cell]
I: 0.2277 0.2500 0.5179 [8 per cell]

Largest 10 diffraction maxima, in order of rising 2θ, 10° ≤ 2θ ≤ 80°:
2θ (°), Rel. int., hkl
18.39, 245, 1 1 2
21.13, 253, 1 2 1
21.33, 648, 2 1 1
21.89, 369, 1 0 3
25.58, 542, 2 2 0
26.66, 201, 0 0 4
33.37, 253, 2 3 1
36.16, 317, 0 4 0
36.80, 280, 4 0 0
37.28, 1000, 2 2 4

For Rb3HgI5, a structure optimized by DFT (GGA-PBE) gives the calculated PXRD pattern in this record (Cu Kα, 1.54184 Å).
Kinematic intensities with the Lorentz-polarization factor, no thermal factor.

Cell and atoms:
abc: 9.9813 10.0281 17.1177
angles: 90.00 90.00 90.00
Space group Ibam (No. 72)
Symmetry-distinct sites (fractional):
Rb: 0.0000 0.0000 0.2500 [4 per cell]
Rb: 0.1528 0.3461 0.0000 [8 per cell]
Hg: 0.0000 0.5000 0.2500 [4 per cell]
I: 0.0000 0.0000 0.0000 [4 per cell]
I: 0.1570 0.3454 0.3542 [16 per cell]

Largest 10 diffraction maxima, in order of rising 2θ, 10° ≤ 2θ ≤ 80°:
2θ (°), Rel. int., hkl
12.51, 257, 1 1 0
16.26, 363, 1 1 2
25.24, 1000, 2 2 0
25.32, 636, 2 1 3
27.43, 579, 2 0 4
32.87, 234, 2 2 4
40.28, 238, 2 4 0
40.42, 235, 4 2 0
42.68, 368, 3 1 6
51.67, 236, 4 4 0

For Rb2HgSbI6, a structure optimized by DFT (GGA-PBE) gives the calculated PXRD pattern in this record (Cu Kα, 1.54184 Å).
Kinematic intensities with the Lorentz-polarization factor, no thermal factor.

Cell and atoms:
abc: 8.6152 8.6367 8.6844
angles: 91.57 119.22 118.67
Space group P1 (No. 1)
Symmetry-distinct sites (fractional):
Rb: 0.0000 0.0000 0.0000 [1 per cell]
Rb: 0.0150 0.5104 0.5075 [1 per cell]
Hg: 0.4642 0.1897 0.7304 [1 per cell]
Sb: 0.4609 0.6857 0.2293 [1 per cell]
I: 0.3901 0.9211 0.9828 [1 per cell]
I: 0.3982 0.4306 0.9233 [1 per cell]
I: 0.5148 0.9342 0.5332 [1 per cell]
I: 0.5253 0.4422 0.4687 [1 per cell]
I: 0.9416 0.9290 0.4052 [1 per cell]
I: 0.9775 0.4361 0.0548 [1 per cell]

Largest 10 diffraction maxima, in order of rising 2θ, 10° ≤ 2θ ≤ 80°:
2θ (°), Rel. int., hkl
14.27, 630, 1 0 0
14.67, 297, -1 1 1
23.79, 332, 1 1 -2
25.02, 433, 0 2 0
28.78, 1000, 0 2 -2
29.58, 472, -2 2 2
32.19, 179, 2 1 -1
32.33, 169, 1 1 1
41.57, 257, 0 2 2
41.86, 174, 2 -4 0

For Rb2ThHg2I6, a structure optimized by DFT (GGA-PBE) gives the calculated PXRD pattern in this record (Cu Kα, 1.54184 Å).
Kinematic intensities with the Lorentz-polarization factor, no thermal factor.

Cell and atoms:
abc: 8.9709 15.8099 9.7891
angles: 90.00 111.13 90.00
Space group C2/m (No. 12)
Symmetry-distinct sites (fractional):
Rb: 0.0000 0.1682 0.0000 [4 per cell]
Th: 0.0000 0.5000 0.0000 [2 per cell]
Hg: 0.0000 0.3115 0.5000 [4 per cell]
I: 0.2059 0.5000 0.8060 [4 per cell]
I: 0.2162 0.3616 0.1964 [8 per cell]

Largest 10 diffraction maxima, in order of rising 2θ, 10° ≤ 2θ ≤ 80°:
2θ (°), Rel. int., hkl
11.97, 439, 1 1 0
14.82, 345, 0 2 1
23.08, 523, 2 0 -2
23.83, 1000, 1 3 1
31.53, 191, 2 2 -3
32.27, 306, 1 3 -3
33.88, 182, 2 0 2
34.02, 142, 0 6 0
34.53, 326, 3 3 -1
47.08, 146, 1 5 -4

For RbTlHg2I6, a structure optimized by DFT (GGA-PBE) gives the calculated PXRD pattern in this record (Cu Kα, 1.54184 Å).
Kinematic intensities with the Lorentz-polarization factor, no thermal factor.

Cell and atoms:
abc: 12.0467 18.0755 10.6275
angles: 90.00 102.81 90.00
Space group C2/c (No. 15)
Symmetry-distinct sites (fractional):
Rb: 0.0000 0.0615 0.2500 [4 per cell]
Tl: 0.0000 0.4797 0.7500 [4 per cell]
Hg: 0.1717 0.3452 0.4538 [8 per cell]
I: 0.0542 0.3778 0.0473 [8 per cell]
I: 0.2035 0.0242 0.5763 [8 per cell]
I: 0.2169 0.2212 0.2979 [8 per cell]

Largest 10 diffraction maxima, in order of rising 2θ, 10° ≤ 2θ ≤ 80°:
2θ (°), Rel. int., hkl
11.18, 1000, 1 1 -1
18.01, 203, 2 2 0
22.63, 326, 1 3 -2
25.19, 275, 2 4 -1
26.17, 290, 0 4 2
27.19, 476, 2 2 2
27.65, 298, 0 2 3
31.36, 182, 4 2 -1
35.57, 235, 1 5 -3
37.46, 212, 1 1 4